1.
Simulated powder X-ray diffraction pattern
Compound: Ba2YSn3O7
Radiation: Cu Kα, 1.54184 Å
Structure: a cell relaxed with PBE
Kinematic intensities with the Lorentz-polarization factor, no thermal factor.

Crystal structure
Cell lengths 4.186, 4.394, 12.043 Å; angles 90.00, 90.00, 90.00 degrees
Space group Pmmm (No. 47)
Asymmetric unit:
Ba 0.000 0.000 0.174
Y 0.000 0.000 0.500
Sn 0.500 0.500 0.000
Sn 0.500 0.500 0.368
O 0.000 0.500 0.379
O 0.500 0.000 0.000
O 0.500 0.000 0.378
O 0.500 0.500 0.196

Main lines, most intense first (2θ from 5° to 70°):
2theta  d (Å)  I/Imax
29.47  3.031  100
30.86  2.897  85
30.15  2.964  81
52.26  1.751  39
53.61  1.710  33
41.08  2.197  32
43.23  2.093  27
54.86  1.673  22

---

2.
Simulated powder X-ray diffraction pattern
Compound: BaZr2SnO6
Radiation: Cu Kα, 1.54184 Å
Structure: a cell relaxed with PBE
Kinematic intensities with the Lorentz-polarization factor, no thermal factor.

Crystal structure
Cell lengths 8.292, 8.462, 4.257 Å; angles 90.00, 90.00, 90.00 degrees
Space group Cmmm (No. 65)
Asymmetric unit:
Ba 0.000 0.000 0.000
Zr 0.250 0.250 0.500
Sn 0.000 0.500 0.000
O 0.000 0.207 0.500
O 0.205 0.500 0.500
O 0.250 0.250 0.000

Main lines, most intense first (2θ from 5° to 70°):
2theta  d (Å)  I/Imax
30.14  2.966  100
29.77  3.001  50
53.15  1.723  22
52.98  1.728  22
53.74  1.706  21
42.47  2.128  17
42.74  2.116  15
43.67  2.073  14

---

3.
Simulated powder X-ray diffraction pattern
Compound: BaZr4SnO12
Radiation: Cu Kα, 1.54184 Å
Structure: a cell relaxed with PBE
Kinematic intensities with the Lorentz-polarization factor, no thermal factor.

Crystal structure
Cell lengths 8.347, 8.239, 8.024 Å; angles 90.00, 90.00, 90.00 degrees
Space group Amm2 (No. 38)
Asymmetric unit:
Ba 0.000 0.000 0.000
Zr 0.254 0.236 0.706
Sn 0.500 0.000 0.411
O 0.000 0.219 0.710
O 0.244 0.194 0.960
O 0.256 0.000 0.257
O 0.334 0.000 0.614
O 0.500 0.206 0.269

Main lines, most intense first (2θ from 5° to 70°):
2theta  d (Å)  I/Imax
18.74  4.734  100
30.49  2.932  72
31.12  2.874  63
30.92  2.892  54
54.33  1.689  28
54.71  1.678  26
43.36  2.087  25
43.96  2.060  21

---

4.
Simulated powder X-ray diffraction pattern
Compound: BaZr2SnO6
Radiation: Cu Kα, 1.54184 Å
Structure: a cell relaxed with PBE
Kinematic intensities with the Lorentz-polarization factor, no thermal factor.

Crystal structure
Cell lengths 4.227, 4.227, 8.446 Å; angles 90.00, 90.00, 90.00 degrees
Space group P4/mmm (No. 123)
Asymmetric unit:
Ba 0.000 0.000 0.000
Zr 0.500 0.500 0.253
Sn 0.000 0.000 0.500
O 0.000 0.500 0.252
O 0.500 0.500 0.000
O 0.500 0.500 0.500

Main lines, most intense first (2θ from 5° to 70°):
2theta  d (Å)  I/Imax
29.90  2.988  100
53.08  1.725  41
42.80  2.113  32
62.13  1.494  20
36.84  2.440  6
48.15  1.890  1

---

5.
Simulated powder X-ray diffraction pattern
Compound: Ba3Sr4O7
Radiation: Cu Kα, 1.54184 Å
Structure: a cell relaxed with PBE
Kinematic intensities with the Lorentz-polarization factor, no thermal factor.

Crystal structure
Cell lengths 3.809, 5.389, 26.771 Å; angles 90.00, 90.00, 90.00 degrees
Space group Immm (No. 71)
Asymmetric unit:
Ba 0.000 0.000 0.000
Ba 0.000 0.000 0.145
Sr 0.000 0.000 0.285
Sr 0.000 0.000 0.428
O 0.000 0.500 0.000
O 0.000 0.500 0.140
O 0.000 0.500 0.278
O 0.000 0.500 0.426

Main lines, most intense first (2θ from 5° to 70°):
2theta  d (Å)  I/Imax
28.66  3.115  100
33.21  2.697  97
47.71  1.906  56
56.63  1.625  31
56.49  1.629  16
59.43  1.555  11
59.25  1.559  11
47.55  1.912  11

---

6.
Simulated powder X-ray diffraction pattern
Compound: BaSrTa2O7
Radiation: Cu Kα, 1.54184 Å
Structure: a cell relaxed with PBE
Kinematic intensities with the Lorentz-polarization factor, no thermal factor.

Crystal structure
Cell lengths 4.029, 7.905, 20.557 Å; angles 90.00, 90.00, 90.00 degrees
Space group Immm (No. 71)
Asymmetric unit:
Ba 0.000 0.000 0.238
Sr 0.000 0.000 0.000
Sr 0.000 0.500 0.000
Ta 0.000 0.252 0.398
O 0.000 0.000 0.388
O 0.000 0.212 0.500
O 0.000 0.247 0.092
O 0.000 0.297 0.308
O 0.000 0.500 0.421

Main lines, most intense first (2θ from 5° to 70°):
2theta  d (Å)  I/Imax
28.49  3.133  100
32.02  2.795  74
31.08  2.878  62
22.49  3.954  46
54.12  1.695  39
51.48  1.775  35
45.00  2.015  27
56.49  1.629  27

---

7.
Simulated powder X-ray diffraction pattern
Compound: Ba3SrTa2O9
Radiation: Cu Kα, 1.54184 Å
Structure: a cell relaxed with PBE
Kinematic intensities with the Lorentz-polarization factor, no thermal factor.

Crystal structure
Cell lengths 6.1493, 6.1493, 15.6363 Å; angles 90.00, 90.00, 120.00 degrees
Space group P6_3/m (No. 176)
Asymmetric unit:
Ba 0.0000 0.0000 0.2500
Ba 0.3333 0.6667 0.1205
Sr 0.0000 0.0000 0.0000
Ta 0.3333 0.6667 0.6544
O 0.0459 0.4740 0.7500
O 0.1138 0.7581 0.5985

Main lines, most intense first (2θ from 5° to 70°):
2theta  d (Å)  I/Imax
29.04  3.075  100
28.32  3.151  74
41.01  2.201  38
51.04  1.790  28
51.48  1.775  23
17.59  5.041  17
60.19  1.537  16
11.32  7.818  15

---

8.
Simulated powder X-ray diffraction pattern
Compound: BaSr2TcO5
Radiation: Cu Kα, 1.54184 Å
Structure: a cell relaxed with PBE
Kinematic intensities with the Lorentz-polarization factor, no thermal factor.

Crystal structure
Cell lengths 3.867, 6.085, 12.011 Å; angles 90.00, 90.00, 90.00 degrees
Space group Immm (No. 71)
Asymmetric unit:
Ba 0.000 0.000 0.000
Sr 0.000 0.500 0.214
Tc 0.000 0.000 0.500
O 0.000 0.236 0.373
O 0.000 0.500 0.000

Main lines, most intense first (2θ from 5° to 70°):
2theta  d (Å)  I/Imax
31.19  2.868  100
29.35  3.043  27
42.29  2.137  27
53.22  1.721  22
29.75  3.003  17
65.05  1.434  14
46.99  1.934  13
53.71  1.706  10